No. 1
This entry pairs a crystal structure of Ba12TlAg6 with its simulated powder XRD pattern. Radiation: CuKα. Structure: DFT lattice parameters and positions (PBE).

The 12 most intense peaks (2θ from 15° to 90°), by angle:
2θ/deg	I_rel
23.79	11
26.10	31
28.24	100
30.23	16
32.11	16
38.83	26
44.68	22
46.05	13
47.39	24
54.90	18
67.17	13
68.22	13

Atomic structure:
```
Ba12TlAg6
1.0
-5.9127 5.9127 5.9127
5.9127 -5.9127 5.9127
5.9127 5.9127 -5.9127
Ba Tl Ag
12 1 6
Direct
0.1142 0.8182 0.2960 Ba
0.1818 0.2960 0.4778 Ba
0.1818 0.7040 0.8858 Ba
0.2960 0.1142 0.8182 Ba
0.2960 0.4778 0.1818 Ba
0.4778 0.1818 0.2960 Ba
0.5222 0.8182 0.7040 Ba
0.7040 0.5222 0.8182 Ba
0.7040 0.8858 0.1818 Ba
0.8182 0.2960 0.1142 Ba
0.8182 0.7040 0.5222 Ba
0.8858 0.1818 0.7040 Ba
0.0000 0.0000 0.0000 Tl
0.1211 0.6211 0.5000 Ag
0.3789 0.5000 0.8789 Ag
0.5000 0.1211 0.6211 Ag
0.5000 0.8789 0.3789 Ag
0.6211 0.5000 0.1211 Ag
0.8789 0.3789 0.5000 Ag
```

No. 2
This entry pairs a crystal structure of FeMo5 with its simulated powder XRD pattern. Radiation: CuKα. Structure: DFT lattice parameters and positions (PBE).

The 12 most intense peaks (2θ from 15° to 90°), by angle:
2θ/deg	I_rel
24.37	1
40.67	100
41.09	24
41.20	24
58.15	8
59.59	15
73.69	16
74.58	16
74.73	16
88.06	11
89.16	3
89.44	3

Atomic structure:
```
FeMo5
1.0
3.1730 0.0000 0.0000
0.0000 13.1472 0.0000
0.0000 0.0000 4.3934
Fe Mo
2 10
Direct
0.0000 0.0000 0.0000 Fe
0.5000 0.5000 0.0000 Fe
0.0000 0.1638 0.5000 Mo
0.0000 0.3353 0.0000 Mo
0.0000 0.5000 0.5000 Mo
0.0000 0.6647 0.0000 Mo
0.0000 0.8362 0.5000 Mo
0.5000 0.0000 0.5000 Mo
0.5000 0.1647 0.0000 Mo
0.5000 0.3362 0.5000 Mo
0.5000 0.6638 0.5000 Mo
0.5000 0.8353 0.0000 Mo
```

No. 3
This entry pairs a crystal structure of Th4NbC4 with its simulated powder XRD pattern. Radiation: CuKα. Structure: DFT lattice parameters and positions (PBE).

The 12 most intense peaks (2θ from 15° to 90°), by angle:
2θ/deg	I_rel
29.80	50
30.13	52
30.51	100
35.01	82
35.15	40
50.23	29
50.66	29
51.05	16
59.59	22
60.21	37
60.43	15
63.50	15

Atomic structure:
```
Th4NbC4
1.0
6.0471 -1.7889 0.0000
6.0471 1.7889 0.0000
-4.5562 0.0000 7.7558
Th Nb C
4 1 4
Direct
0.1024 0.1024 0.3839 Th
0.2952 0.2952 0.1875 Th
0.7048 0.7048 0.8125 Th
0.8976 0.8976 0.6161 Th
0.5000 0.5000 0.0000 Nb
0.0893 0.0893 0.9146 C
0.3147 0.3147 0.7224 C
0.6853 0.6853 0.2776 C
0.9107 0.9107 0.0854 C
```